Structure and computed powder XRD pattern of ZnAsHPbO5 (a crystal structure in the Materials Project, relaxed with GGA-PBE; Cu Kα (λ = 1.5418 Å)).
No peak broadening, texture or thermal motion is included.

The 10 most intense peaks (15 to 90 degrees two-theta), most intense first:
- hkl 1 2 0, 27.0°, I = 100
- hkl 0 1 3, 30.5°, I = 64
- hkl 1 1 3, 33.9°, I = 53
- hkl 2 1 1, 32.5°, I = 45
- hkl 1 2 2, 33.1°, I = 45
- hkl 1 1 1, 20.6°, I = 39
- hkl 2 3 3, 54.4°, I = 37
- hkl 1 0 1, 17.1°, I = 30
- hkl 1 3 3, 47.6°, I = 25
- hkl 2 0 0, 28.8°, I = 24

Cell and atoms:
Unit cell a=6.198 b=7.810 c=9.476 alpha=90.00 beta=90.00 gamma=90.00
Fractional positions:
Zn (0.231, 0.230, 0.012)
Zn (0.269, 0.770, 0.512)
Zn (0.731, 0.270, 0.988)
Zn (0.769, 0.730, 0.488)
As (0.014, 0.877, 0.185)
As (0.486, 0.123, 0.685)
As (0.514, 0.623, 0.815)
As (0.986, 0.377, 0.315)
H (0.012, 0.496, 0.989)
H (0.488, 0.504, 0.489)
H (0.512, 0.004, 0.011)
H (0.988, 0.996, 0.511)
Pb (0.034, 0.369, 0.671)
Pb (0.466, 0.631, 0.171)
Pb (0.534, 0.131, 0.329)
Pb (0.966, 0.869, 0.829)
O (0.005, 0.385, 0.938)
O (0.007, 0.554, 0.426)
O (0.061, 0.704, 0.077)
O (0.227, 0.357, 0.222)
O (0.239, 0.889, 0.294)
O (0.261, 0.111, 0.794)
O (0.273, 0.643, 0.722)
O (0.439, 0.296, 0.577)
O (0.493, 0.446, 0.926)
O (0.495, 0.615, 0.438)
O (0.505, 0.115, 0.062)
O (0.507, 0.946, 0.574)
O (0.561, 0.796, 0.923)
O (0.727, 0.143, 0.778)
O (0.739, 0.611, 0.706)
O (0.761, 0.389, 0.206)
O (0.773, 0.857, 0.278)
O (0.939, 0.204, 0.423)
O (0.993, 0.054, 0.074)
O (0.995, 0.885, 0.562)